Diffraction record for Gd3AlGa2Si2Pt. The powder XRD pattern is simulated, not measured: it uses DFT lattice parameters and positions (GGA-PBE) and a wavelength of 1.5418 Å.

Structure:
Cell: 4.250 7.022 7.022 Å, 121.38 90.00 90.00°
Element x y z (fractional)
Gd (0.000, 0.000, 0.000)
Gd (0.000, 0.172, 0.591)
Gd (0.000, 0.591, 0.172)
Al (0.500, 0.350, 0.350)
Ga (0.500, 0.584, 0.826)
Ga (0.500, 0.826, 0.584)
Si (0.500, 0.252, 0.927)
Si (0.500, 0.927, 0.252)
Pt (0.000, 0.574, 0.574)

Main lines, low angle first (10° ≤ 2θ ≤ 90°):
2θ (°)  I_rel
14.78  27.0
20.90  61.8
29.81  56.2
33.10  58.9
33.53  49.9
36.16  77.7
36.69  100.0
39.41  23.4
42.55  44.3
59.37  26.0